[1]
Computed X-ray powder pattern
Compound: Dy5Y4Ho2
Radiation: Cu Ka
Structure: DFT lattice parameters and positions (PBE)
Kinematic intensities with the Lorentz-polarization factor, no thermal factor.

Atomic structure:
Cell lengths 11.040, 7.282, 9.250 Å; angles 90.00, 107.53, 90.00 degrees
Space group C2/m (No. 12)
Inequivalent atoms, fractional coordinates:
Dy1 0.000 0.000 0.000 [2 per cell]
Dy2 0.067 0.278 0.279 [8 per cell]
Y1 0.171 0.500 0.623 [4 per cell]
Y2 0.183 0.500 0.001 [4 per cell]
Ho1 0.146 0.000 0.620 [4 per cell]

Peak list (6 most intense, 5° ≤ 2θ ≤ 70°, low angle first)
d/Å  2θ (°)  Rel. int.  index
2.995  29.83  36  2 2 0
2.979  30.00  30  2 0 -3
2.940  30.40  30  0 0 3
2.808  31.87  46  0 2 2
2.760  32.44  41  4 0 -1
2.700  33.18  100  2 2 -2

[2]
Computed X-ray powder pattern
Compound: Dy2Y5Ho2
Radiation: Cu Ka
Structure: DFT lattice parameters and positions (PBE)
Kinematic intensities with the Lorentz-polarization factor, no thermal factor.

Atomic structure:
Cell lengths 3.548, 9.405, 9.408 Å; angles 69.10, 79.16, 79.26 degrees
Space group P-1 (No. 2)
Inequivalent atoms, fractional coordinates:
Dy1 0.056 0.167 0.222 [2 per cell]
Y1 0.278 0.832 0.111 [2 per cell]
Y2 0.389 0.167 0.555 [2 per cell]
Y3 0.500 0.500 0.000 [1 per cell]
Ho1 0.167 0.501 0.665 [2 per cell]

Peak list (6 most intense, 5° ≤ 2θ ≤ 70°, low angle first)
d/Å  2θ (°)  Rel. int.  index
2.902  30.82  100  1 0 2
2.513  35.73  51  1 3 2
1.777  51.41  29  1 2 5
1.516  61.12  24  0 1 6
1.514  61.21  14  2 3 4
1.451  64.17  9  2 0 4